Theoretical powder diffractogram of Ca11N8 for Cu Kα, 1.54184 Å, from a crystal structure in the Materials Project, relaxed with PBE.
Lines closer than 0.1° are merged.

Structural model:
abc: 13.949 13.949 3.659
angles: 90.00 90.00 90.00
Space group P4_2/mnm (No. 136)
Inequivalent atoms, fractional coordinates:
Ca (0.000, 0.000, 0.000) (multiplicity 2)
Ca (0.030, 0.211, 0.500) (multiplicity 8)
Ca (0.119, 0.622, 0.500) (multiplicity 8)
Ca (0.172, 0.828, 0.000) (multiplicity 4)
N (0.032, 0.692, 0.000) (multiplicity 8)
N (0.087, 0.913, 0.500) (multiplicity 4)
N (0.203, 0.203, 0.500) (multiplicity 4)

Principal peaks in the range 2θ from 5° to 70°, in order of rising 2θ:
2θ/deg, I_rel, (hkl)
30.42, 96.4, 2 2 1
32.74, 65.4, 5 1 0
33.72, 100.0, 3 2 1
36.44, 52.0, 4 4 0
36.75, 40.4, 3 3 1
49.84, 32.7, 0 0 2
52.72, 58.5, 7 1 1
63.27, 30.9, 4 4 2